(1)
Computed powder XRD pattern of Cs2Ta2Se5 for a wavelength of 1.5418 Å, from DFT lattice parameters and positions (GGA-PBE).
Neutral-atom scattering factors, no anomalous dispersion.

Largest 10 diffraction maxima, sorted by position, 5 to 70 degrees two-theta:
d_spacing, intensity, hkl
8.869, 64, 0 0 1
6.153, 24, 2 0 -1
4.111, 100, 1 1 1
3.610, 26, 4 0 0
3.115, 22, 3 1 1
2.582, 26, 2 0 3
2.533, 34, 0 2 0
2.434, 22, 6 0 -1
2.056, 33, 4 0 -4
1.911, 23, 7 1 0

Structural model:
abc: 14.669 5.067 9.009
angles: 90.00 100.11 90.00
Space group C2/m (No. 12)
One atom of each set of equivalent atoms:
Cs  0.086  0.000  0.317 [4 per cell]
Ta  0.146  0.500  0.902 [4 per cell]
Se  0.000  0.500  0.000 [2 per cell]
Se  0.125  0.500  0.635 [4 per cell]
Se  0.182  0.000  0.964 [4 per cell]


(2)
Computed powder XRD pattern of CaY5Tl6 for a wavelength of 1.5418 Å, from DFT lattice parameters and positions (GGA-PBE).
Neutral-atom scattering factors, no anomalous dispersion.

Largest 10 diffraction maxima, sorted by position, 5 to 70 degrees two-theta:
d_spacing, intensity, hkl
3.812, 20, 1 3 -1
2.695, 100, 1 3 1
2.202, 5, 2 6 0
1.906, 18, 4 0 0
1.706, 6, 1 9 -1
1.703, 3, 4 6 -2
1.557, 28, 1 3 -3
1.554, 9, 5 3 -3
1.349, 6, 2 6 2
1.346, 6, 4 0 -4

Structural model:
abc: 9.325 16.186 5.383
angles: 90.00 125.11 90.00
Space group C2/m (No. 12)
One atom of each set of equivalent atoms:
Ca  0.000  0.000  0.000 [2 per cell]
Y  0.000  0.163  0.500 [4 per cell]
Y  0.000  0.332  0.000 [4 per cell]
Y  0.000  0.500  0.500 [2 per cell]
Tl  0.246  0.500  0.246 [4 per cell]
Tl  0.248  0.333  0.748 [8 per cell]


(3)
Computed powder XRD pattern of Th6Rh5 for a wavelength of 1.5418 Å, from DFT lattice parameters and positions (GGA-PBE).
Neutral-atom scattering factors, no anomalous dispersion.

Largest 10 diffraction maxima, sorted by position, 5 to 70 degrees two-theta:
d_spacing, intensity, hkl
3.350, 18, 0 0 2
3.341, 18, 1 3 -1
2.897, 100, 2 0 -2
2.054, 13, 2 0 2
2.047, 63, 1 3 -3
1.749, 8, 4 0 -2
1.745, 11, 0 6 2
1.676, 7, 4 0 0
1.670, 13, 2 6 -2
1.449, 8, 2 6 2

Structural model:
abc: 7.103 12.272 7.091
angles: 90.00 109.27 90.00
Space group C2/m (No. 12)
One atom of each set of equivalent atoms:
Th  0.244  0.000  0.250 [4 per cell]
Th  0.245  0.170  0.745 [8 per cell]
Rh  0.000  0.000  0.500 [2 per cell]
Rh  0.000  0.168  0.000 [4 per cell]
Rh  0.000  0.338  0.500 [4 per cell]